Calculated PXRD pattern
Compound: La2Ni2GeAs
Radiation: Cu Kα (λ = 1.5418 Å)
Structure: a PBE-relaxed structure
Kinematic intensities with the Lorentz-polarization factor, no thermal factor.

Atomic structure:
abc: 4.1766 4.1766 8.3418
angles: 90.00 90.00 120.00
Space group P-6m2 (No. 187)
Unique sites:
La 0.0000 0.0000 0.2483 [2 per cell]
Ni 0.3333 0.6667 0.0000 [1 per cell]
Ni 0.6667 0.3333 0.5000 [1 per cell]
Ge 0.3333 0.6667 0.5000 [1 per cell]
As 0.6667 0.3333 0.0000 [1 per cell]

Principal peaks in the range 10° ≤ 2θ ≤ 90°, in order of rising 2θ:
d 3.617, 2θ 24.61, rel. 10, hkl 1 0 0
d 2.733, 2θ 32.77, rel. 100, hkl 1 0 2
d 2.088, 2θ 43.34, rel. 55, hkl 1 1 0
d 1.807, 2θ 50.50, rel. 5, hkl 2 0 0
d 1.659, 2θ 55.37, rel. 22, hkl 2 0 2
d 1.476, 2θ 62.99, rel. 26, hkl 1 1 4
d 1.367, 2θ 68.67, rel. 2, hkl 2 1 0
d 1.299, 2θ 72.83, rel. 29, hkl 2 1 2
d 1.206, 2θ 79.49, rel. 7, hkl 3 0 0
d 1.143, 2θ 84.79, rel. 1, hkl 2 1 4
d 1.102, 2θ 88.76, rel. 6, hkl 2 0 6